(1)
Structure and calculated X-ray diffraction stick pattern of Cd7In6Hg16 (a GGA-PBE-relaxed structure; λ = 1.5418 Å (Cu Kα)).
Kinematic intensities with the Lorentz-polarization factor, no thermal factor.

Atomic structure:
a = 10.2802 Å, b = 10.2802 Å, c = 10.2802 Å
α = 60.00°, β = 60.00°, γ = 60.00°
Element x y z (fractional)
Cd (0.0000, 0.0000, 0.0000)
Cd (0.0000, 0.0000, 0.5000)
Cd (0.0000, 0.5000, 0.0000)
Cd (0.0000, 0.5000, 0.5000)
Cd (0.5000, 0.0000, 0.0000)
Cd (0.5000, 0.0000, 0.5000)
Cd (0.5000, 0.5000, 0.0000)
In (0.2326, 0.2326, 0.7674)
In (0.2326, 0.7674, 0.2326)
In (0.2326, 0.7674, 0.7674)
In (0.7674, 0.2326, 0.2326)
In (0.7674, 0.2326, 0.7674)
In (0.7674, 0.7674, 0.2326)
Hg (0.1419, 0.1419, 0.1419)
Hg (0.1419, 0.1419, 0.5742)
Hg (0.1419, 0.5742, 0.1419)
Hg (0.1521, 0.6160, 0.6160)
Hg (0.3840, 0.3840, 0.3840)
Hg (0.3840, 0.3840, 0.8479)
Hg (0.3840, 0.8479, 0.3840)
Hg (0.4258, 0.8581, 0.8581)
Hg (0.5742, 0.1419, 0.1419)
Hg (0.6160, 0.1521, 0.6160)
Hg (0.6160, 0.6160, 0.1521)
Hg (0.6160, 0.6160, 0.6160)
Hg (0.8479, 0.3840, 0.3840)
Hg (0.8581, 0.4258, 0.8581)
Hg (0.8581, 0.8581, 0.4258)
Hg (0.8581, 0.8581, 0.8581)

Peak list (8 most intense, 10 to 90 degrees two-theta, sorted by position)
| d [Å] | 2θ/deg | intensity |
| --- | --- | --- |
| 3.635 | 24.49 | 15 |
| 2.798 | 31.99 | 15 |
| 2.570 | 34.91 | 100 |
| 1.893 | 48.07 | 8 |
| 1.817 | 50.20 | 15 |
| 1.484 | 62.60 | 26 |
| 1.405 | 66.53 | 12 |
| 1.149 | 84.25 | 8 |

(2)
Structure and calculated X-ray diffraction stick pattern of CsRb2IO4 (a GGA-PBE-relaxed structure; λ = 1.5418 Å (Cu Kα)).
Kinematic intensities with the Lorentz-polarization factor, no thermal factor.

Atomic structure:
a = 6.5124 Å, b = 6.5124 Å, c = 6.5124 Å
α = 111.01°, β = 111.01°, γ = 106.43°
Element x y z (fractional)
Cs (0.0000, 0.0000, 0.0000)
Rb (0.5000, 0.5000, 0.0000)
Rb (0.7500, 0.2500, 0.5000)
I (0.2500, 0.7500, 0.5000)
O (0.2554, 0.0626, 0.5180)
O (0.2627, 0.7446, 0.8072)
O (0.5445, 0.7373, 0.4820)
O (0.9374, 0.4555, 0.1928)

Peak list (8 most intense, 10 to 90 degrees two-theta, sorted by position)
| d [Å] | 2θ/deg | intensity |
| --- | --- | --- |
| 3.688 | 24.13 | 70 |
| 3.123 | 28.58 | 100 |
| 2.608 | 34.39 | 32 |
| 2.002 | 45.30 | 59 |
| 1.724 | 53.13 | 19 |
| 1.649 | 55.73 | 16 |
| 1.588 | 58.09 | 12 |
| 1.356 | 69.28 | 16 |

(3)
Structure and calculated X-ray diffraction stick pattern of TiGeRh4 (a GGA-PBE-relaxed structure; λ = 1.5418 Å (Cu Kα)).
Kinematic intensities with the Lorentz-polarization factor, no thermal factor.

Atomic structure:
a = 4.0800 Å, b = 4.0800 Å, c = 5.8617 Å
α = 90.00°, β = 90.00°, γ = 90.00°
Element x y z (fractional)
Ti (0.0000, 0.0000, 0.0000)
Ge (0.5000, 0.5000, 0.5000)
Rh (0.0000, 0.5000, 0.2530)
Rh (0.0000, 0.5000, 0.7470)
Rh (0.5000, 0.0000, 0.2530)
Rh (0.5000, 0.0000, 0.7470)

Peak list (8 most intense, 10 to 90 degrees two-theta, sorted by position)
| d [Å] | 2θ/deg | intensity |
| --- | --- | --- |
| 3.349 | 26.62 | 20 |
| 2.931 | 30.50 | 21 |
| 2.885 | 31.00 | 41 |
| 2.056 | 44.04 | 100 |
| 2.040 | 44.41 | 49 |
| 1.674 | 54.83 | 16 |
| 1.190 | 80.74 | 16 |
| 1.181 | 81.51 | 32 |